Calculated powder diffraction line list of Tl2WSe5 for Cu Kα, from a structure optimized by DFT (GGA-PBE).
Lines closer than 0.1° are merged.

Top 6 peaks for 2θ = 5–70°, low angle first:
2theta, I_rel
13.44, 29
23.74, 100
27.07, 31
34.03, 30
39.04, 42
41.07, 24

Cell and atoms:
```
data_Tl2WSe5
_chemical_formula_sum 'Tl2 W1 Se5'
_cell_length_a 8.021
_cell_length_b 8.021
_cell_length_c 8.021
_cell_angle_alpha 137.80
_cell_angle_beta 122.84
_cell_angle_gamma 73.56
_symmetry_space_group_name_H-M 'P 1'
_symmetry_Int_Tables_number 1
_symmetry_space_group_name_Hall 'P 1'
loop_
_atom_site_label
_atom_site_type_symbol
_atom_site_fract_x
_atom_site_fract_y
_atom_site_fract_z
Tl1 Tl 0.000 0.000 0.000
Tl2 Tl 0.471 0.471 0.000
W1 W 0.714 0.214 0.500
Se1 Se 0.423 0.423 0.533
Se2 Se 0.423 0.890 0.001
Se3 Se 0.890 0.423 0.999
Se4 Se 0.890 0.890 0.467
Se5 Se 0.894 0.394 0.500
```


Calculated powder diffraction line list of Y4Tl2Se for Cu Kα, from a structure optimized by DFT (GGA-PBE).
Lines closer than 0.1° are merged.

Top 6 peaks for 2θ = 5–70°, low angle first:
2theta, I_rel
31.09, 98
31.52, 100
31.86, 98
33.18, 91
33.32, 88
36.54, 79

Cell and atoms:
```
data_Y4Tl2Se
_chemical_formula_sum 'Y8 Tl4 Se2'
_cell_length_a 6.625
_cell_length_b 6.672
_cell_length_c 9.713
_cell_angle_alpha 90.00
_cell_angle_beta 108.79
_cell_angle_gamma 90.00
_symmetry_space_group_name_H-M 'P 1'
_symmetry_Int_Tables_number 1
_symmetry_space_group_name_Hall 'P 1'
loop_
_atom_site_label
_atom_site_type_symbol
_atom_site_fract_x
_atom_site_fract_y
_atom_site_fract_z
Y1 Y 0.149 0.250 0.079
Y2 Y 0.255 0.004 0.767
Y3 Y 0.255 0.496 0.767
Y4 Y 0.297 0.750 0.359
Y5 Y 0.703 0.250 0.641
Y6 Y 0.745 0.504 0.233
Y7 Y 0.745 0.996 0.233
Y8 Y 0.851 0.750 0.921
Tl1 Tl 0.114 0.250 0.466
Tl2 Tl 0.347 0.750 0.051
Tl3 Tl 0.653 0.250 0.949
Tl4 Tl 0.886 0.750 0.534
Se1 Se 0.487 0.250 0.345
Se2 Se 0.513 0.750 0.655
```


Calculated powder diffraction line list of YTl3Se3 for Cu Kα, from a structure optimized by DFT (GGA-PBE).
Lines closer than 0.1° are merged.

Top 6 peaks for 2θ = 5–70°, low angle first:
2theta, I_rel
25.52, 23
28.92, 100
40.54, 20
42.20, 25
42.71, 13
52.42, 13

Cell and atoms:
```
data_YTl3Se3
_chemical_formula_sum 'Y2 Tl6 Se6'
_cell_length_a 9.044
_cell_length_b 4.234
_cell_length_c 12.355
_cell_angle_alpha 90.00
_cell_angle_beta 93.21
_cell_angle_gamma 90.00
_symmetry_space_group_name_H-M 'P 1'
_symmetry_Int_Tables_number 1
_symmetry_space_group_name_Hall 'P 1'
loop_
_atom_site_label
_atom_site_type_symbol
_atom_site_fract_x
_atom_site_fract_y
_atom_site_fract_z
Y1 Y 0.113 0.250 0.382
Y2 Y 0.887 0.750 0.618
Tl1 Tl 0.145 0.250 0.877
Tl2 Tl 0.335 0.750 0.144
Tl3 Tl 0.386 0.750 0.636
Tl4 Tl 0.614 0.250 0.364
Tl5 Tl 0.665 0.250 0.856
Tl6 Tl 0.855 0.750 0.123
Se1 Se 0.095 0.250 0.149
Se2 Se 0.107 0.250 0.616
Se3 Se 0.332 0.750 0.390
Se4 Se 0.668 0.250 0.610
Se5 Se 0.893 0.750 0.384
Se6 Se 0.905 0.750 0.851
```


Calculated powder diffraction line list of Y4TlSe2 for Cu Kα, from a structure optimized by DFT (GGA-PBE).
Lines closer than 0.1° are merged.

Top 6 peaks for 2θ = 5–70°, low angle first:
2theta, I_rel
28.85, 45
30.31, 100
32.34, 42
39.79, 42
42.22, 32
44.77, 32

Cell and atoms:
```
data_Y4TlSe2
_chemical_formula_sum 'Y8 Tl2 Se4'
_cell_length_a 7.049
_cell_length_b 7.049
_cell_length_c 13.930
_cell_angle_alpha 90.00
_cell_angle_beta 90.00
_cell_angle_gamma 146.47
_symmetry_space_group_name_H-M 'P 1'
_symmetry_Int_Tables_number 1
_symmetry_space_group_name_Hall 'P 1'
loop_
_atom_site_label
_atom_site_type_symbol
_atom_site_fract_x
_atom_site_fract_y
_atom_site_fract_z
Y1 Y 0.000 0.000 0.000
Y2 Y 0.000 0.000 0.500
Y3 Y 0.270 0.730 0.622
Y4 Y 0.270 0.730 0.878
Y5 Y 0.431 0.569 0.250
Y6 Y 0.569 0.431 0.750
Y7 Y 0.730 0.270 0.122
Y8 Y 0.730 0.270 0.378
Tl1 Tl 0.105 0.895 0.250
Tl2 Tl 0.895 0.105 0.750
Se1 Se 0.364 0.636 0.058
Se2 Se 0.364 0.636 0.442
Se3 Se 0.636 0.364 0.558
Se4 Se 0.636 0.364 0.942
```


Calculated powder diffraction line list of Y6TlSe4 for Cu Kα, from a structure optimized by DFT (GGA-PBE).
Lines closer than 0.1° are merged.

Top 6 peaks for 2θ = 5–70°, low angle first:
2theta, I_rel
28.94, 51
29.85, 41
30.78, 100
41.77, 29
43.69, 49
44.51, 29

Cell and atoms:
```
data_Y6TlSe4
_chemical_formula_sum 'Y12 Tl2 Se8'
_cell_length_a 7.080
_cell_length_b 7.080
_cell_length_c 20.791
_cell_angle_alpha 90.00
_cell_angle_beta 90.00
_cell_angle_gamma 146.58
_symmetry_space_group_name_H-M 'P 1'
_symmetry_Int_Tables_number 1
_symmetry_space_group_name_Hall 'P 1'
loop_
_atom_site_label
_atom_site_type_symbol
_atom_site_fract_x
_atom_site_fract_y
_atom_site_fract_z
Y1 Y 0.000 0.000 0.000
Y2 Y 0.000 0.000 0.500
Y3 Y 0.157 0.843 0.750
Y4 Y 0.271 0.729 0.087
Y5 Y 0.271 0.729 0.413
Y6 Y 0.454 0.546 0.663
Y7 Y 0.454 0.546 0.837
Y8 Y 0.546 0.454 0.163
Y9 Y 0.546 0.454 0.337
Y10 Y 0.729 0.271 0.587
Y11 Y 0.729 0.271 0.913
Y12 Y 0.843 0.157 0.250
Tl1 Tl 0.169 0.831 0.250
Tl2 Tl 0.831 0.169 0.750
Se1 Se 0.090 0.910 0.623
Se2 Se 0.090 0.910 0.877
Se3 Se 0.361 0.639 0.540
Se4 Se 0.361 0.639 0.960
Se5 Se 0.639 0.361 0.040
Se6 Se 0.639 0.361 0.460
Se7 Se 0.910 0.090 0.123
Se8 Se 0.910 0.090 0.377
```


Calculated powder diffraction line list of TlZnSe3 for Cu Kα, from a structure optimized by DFT (GGA-PBE).
Lines closer than 0.1° are merged.

Top 6 peaks for 2θ = 5–70°, low angle first:
2theta, I_rel
24.88, 68
30.59, 100
35.47, 98
43.81, 31
51.03, 69
60.68, 43

Cell and atoms:
```
data_TlZnSe3
_chemical_formula_sum 'Tl1 Zn1 Se3'
_cell_length_a 5.062
_cell_length_b 5.062
_cell_length_c 5.062
_cell_angle_alpha 90.00
_cell_angle_beta 90.00
_cell_angle_gamma 90.00
_symmetry_space_group_name_H-M 'P 1'
_symmetry_Int_Tables_number 1
_symmetry_space_group_name_Hall 'P 1'
loop_
_atom_site_label
_atom_site_type_symbol
_atom_site_fract_x
_atom_site_fract_y
_atom_site_fract_z
Tl1 Tl 0.000 0.000 0.000
Zn1 Zn 0.500 0.500 0.500
Se1 Se 0.000 0.500 0.500
Se2 Se 0.500 0.000 0.500
Se3 Se 0.500 0.500 0.000
```